No. 1
For KV4O7, the GGA+U geometry in Alexandria gives the computed XRD peak list in this record (λ = 1.5418 Å (Cu Kα)).
Peak positions follow from Bragg's law for the DFT cell and can differ from measured ones.

Crystal structure
```
KV4O7
1.0
14.213 0.000 0.000
0.000 5.720 0.000
0.000 0.000 5.313
K V O
2 8 14
direct
0.000 0.167 0.000 K
0.500 0.833 0.500 K
0.119 0.683 0.390 V
0.248 0.180 0.381 V
0.252 0.820 0.881 V
0.381 0.317 0.890 V
0.619 0.317 0.890 V
0.748 0.820 0.881 V
0.752 0.180 0.381 V
0.881 0.683 0.390 V
0.000 0.787 0.308 O
0.138 0.733 0.729 O
0.142 0.372 0.320 O
0.214 0.878 0.230 O
0.286 0.122 0.730 O
0.358 0.628 0.820 O
0.362 0.267 0.229 O
0.500 0.213 0.808 O
0.638 0.267 0.229 O
0.642 0.628 0.820 O
0.714 0.122 0.730 O
0.786 0.878 0.230 O
0.858 0.372 0.320 O
0.862 0.733 0.729 O
```

Most intense lines, 5 to 70 degrees two-theta, in order of falling intensity:
2theta, I_rel
26.10, 1000
12.46, 498
17.82, 420
29.60, 412
25.19, 356
33.74, 329
31.28, 322
16.71, 289


No. 2
For K2Y2VO6, the GGA+U geometry in Alexandria gives the computed XRD peak list in this record (λ = 1.5418 Å (Cu Kα)).
Peak positions follow from Bragg's law for the DFT cell and can differ from measured ones.

Crystal structure
```
K2Y2VO6
1.0
2.875 -4.969 0.000
2.875 4.969 0.000
-1.695 0.000 6.344
K Y V O
2 2 1 6
direct
0.162 0.838 0.000 K
0.838 0.162 0.000 K
0.333 0.667 0.500 Y
0.667 0.333 0.500 Y
0.000 0.000 0.500 V
0.048 0.358 0.672 O
0.233 0.233 0.335 O
0.358 0.048 0.672 O
0.642 0.952 0.328 O
0.767 0.767 0.665 O
0.952 0.642 0.328 O
```

Most intense lines, 5 to 70 degrees two-theta, in order of falling intensity:
2theta, I_rel
13.96, 1000
36.27, 683
37.11, 345
28.13, 304
32.75, 294
55.43, 275
50.24, 185
32.23, 158